Diffraction record for PmRuBrO4. The powder XRD pattern is computed, not measured: it uses DFT lattice parameters and positions (PBE) and Cu Kα, 1.54184 Å.

Crystal structure
Unit cell a=10.6964 b=7.3424 c=7.0614 alpha=90.00 beta=104.93 gamma=90.00
Space group C2/m (No. 12)
One atom of each set of equivalent atoms:
Pm: 0.2285 0.0000 0.1136
Ru: 0.1353 0.5000 0.2747
Br: 0.0121 0.0000 0.7542
O: 0.0345 0.5000 0.7734
O: 0.1942 0.3216 0.1368
O: 0.2116 0.5000 0.5273

The 6 most intense peaks (2θ = 10–90°), by angle:
(hkl)  2θ/deg  I (rel.)
0 0 1  12.98  38.9
2 0 1  24.14  42.9
0 2 0  24.24  100.0
1 1 -2  28.11  24.9
3 1 -1  28.57  63.9
3 1 -2  34.13  43.1